Entry 1:
Diffraction record for TbSc4PbS8. The powder diffraction line list is theoretical, not measured: it uses a PBE-relaxed structure and Cu Kα, 1.54184 Å.
Kinematic intensities with the Lorentz-polarization factor, no thermal factor.

Principal peaks in the range 2θ from 10° to 80°, by intensity:
| d_spacing | 2θ (°) | I_rel |
| --- | --- | --- |
| 3.333 | 26.74 | 100 |
| 3.867 | 23.00 | 60 |
| 3.400 | 26.21 | 45 |
| 1.986 | 45.68 | 40 |
| 1.933 | 47.00 | 40 |
| 2.131 | 42.42 | 31 |
| 2.114 | 42.77 | 29 |
| 5.541 | 15.99 | 27 |
| 6.342 | 13.96 | 24 |
| 2.506 | 35.83 | 21 |

```
TbSc4PbS8
1.0
3.8668 2.2325 6.5772
-3.8668 2.2325 6.5772
0.0000 -4.4650 6.5772
Tb Sc Pb S
1 4 1 8
Direct
0.0000 0.0000 0.0000 Tb
0.0012 0.0012 0.5035 Sc
0.0012 0.5035 0.0012 Sc
0.3741 0.3741 0.3741 Sc
0.5035 0.0012 0.0012 Sc
0.6320 0.6320 0.6320 Pb
0.2083 0.7570 0.7570 S
0.2439 0.2439 0.2439 S
0.2504 0.2504 0.7679 S
0.2504 0.7679 0.2504 S
0.7570 0.2083 0.7570 S
0.7570 0.7570 0.2083 S
0.7679 0.2504 0.2504 S
0.7718 0.7718 0.7718 S
```


Entry 2:
Diffraction record for Pb2Se2S5. The powder diffraction line list is theoretical, not measured: it uses a PBE-relaxed structure and Cu Kα, 1.54184 Å.
Kinematic intensities with the Lorentz-polarization factor, no thermal factor.

Principal peaks in the range 2θ from 10° to 80°, by intensity:
| d_spacing | 2θ (°) | I_rel |
| --- | --- | --- |
| 2.668 | 33.58 | 100 |
| 4.776 | 18.58 | 89 |
| 4.485 | 19.79 | 85 |
| 5.065 | 17.51 | 70 |
| 3.395 | 26.25 | 67 |
| 3.566 | 24.97 | 67 |
| 4.641 | 19.12 | 66 |
| 5.332 | 16.62 | 64 |
| 2.477 | 36.27 | 62 |
| 2.552 | 35.16 | 59 |

```
Pb2Se2S5
1.0
5.8122 -9.6537 0.0000
5.8122 9.6537 0.0000
-2.2992 0.0000 5.0650
Pb Se S
4 4 10
Direct
0.0000 0.0000 0.0000 Pb
0.1262 0.6881 0.7676 Pb
0.5053 0.5053 0.1211 Pb
0.6881 0.1262 0.7676 Pb
0.0398 0.3067 0.1535 Se
0.2413 0.5509 0.1755 Se
0.3067 0.0398 0.1535 Se
0.5509 0.2413 0.1755 Se
0.1646 0.9497 0.7293 S
0.2714 0.4980 0.8005 S
0.4980 0.2714 0.8005 S
0.5045 0.8523 0.4135 S
0.5854 0.8486 0.7784 S
0.7305 0.7305 0.7620 S
0.7508 0.7508 0.1454 S
0.8486 0.5854 0.7784 S
0.8523 0.5045 0.4135 S
0.9497 0.1646 0.7293 S
```


Entry 3:
Diffraction record for SiPb2S4. The powder diffraction line list is theoretical, not measured: it uses a PBE-relaxed structure and Cu Kα, 1.54184 Å.
Kinematic intensities with the Lorentz-polarization factor, no thermal factor.

Principal peaks in the range 2θ from 10° to 80°, by intensity:
| d_spacing | 2θ (°) | I_rel |
| --- | --- | --- |
| 2.985 | 29.93 | 100 |
| 5.503 | 16.11 | 91 |
| 4.465 | 19.89 | 83 |
| 4.015 | 22.14 | 51 |
| 3.243 | 27.50 | 47 |
| 4.094 | 21.71 | 45 |
| 2.720 | 32.93 | 39 |
| 2.867 | 31.20 | 38 |
| 2.270 | 39.72 | 36 |
| 2.751 | 32.55 | 34 |

```
SiPb2S4
1.0
4.6640 -4.0149 0.0000
4.6640 4.0149 0.0000
-3.0016 0.0000 5.5025
Si Pb S
1 2 4
Direct
0.0000 0.0000 0.0000 Si
0.1400 0.6143 0.4880 Pb
0.6143 0.1400 0.4880 Pb
0.0200 0.0200 0.3608 S
0.3370 0.8825 0.9888 S
0.7628 0.7628 0.6659 S
0.8825 0.3370 0.9888 S
```


Entry 4:
Diffraction record for SiPbS3. The powder diffraction line list is theoretical, not measured: it uses a PBE-relaxed structure and Cu Kα, 1.54184 Å.
Kinematic intensities with the Lorentz-polarization factor, no thermal factor.

Principal peaks in the range 2θ from 10° to 80°, by intensity:
| d_spacing | 2θ (°) | I_rel |
| --- | --- | --- |
| 7.528 | 11.76 | 100 |
| 3.933 | 22.61 | 52 |
| 2.390 | 37.64 | 48 |
| 3.330 | 26.77 | 45 |
| 5.742 | 15.43 | 45 |
| 2.894 | 30.90 | 40 |
| 2.025 | 44.74 | 35 |
| 5.397 | 16.42 | 33 |
| 3.889 | 22.87 | 30 |
| 5.251 | 16.88 | 27 |

```
SiPbS3
1.0
-3.4285 5.2513 5.3974
3.4285 -5.2513 5.3974
3.4285 5.2513 -5.3974
Si Pb S
2 2 6
Direct
0.1593 0.2500 0.4093 Si
0.8407 0.7500 0.5907 Si
0.2923 0.8723 0.9200 Pb
0.9523 0.3723 0.0800 Pb
0.0874 0.9283 0.6591 S
0.1094 0.4255 0.7047 S
0.1094 0.9047 0.1838 S
0.2691 0.4283 0.3409 S
0.7209 0.4047 0.2953 S
0.7209 0.9255 0.8162 S
```


Copy entry 4 word for word.
Diffraction record for SiPbS3. The powder diffraction line list is theoretical, not measured: it uses a PBE-relaxed structure and Cu Kα, 1.54184 Å.
Kinematic intensities with the Lorentz-polarization factor, no thermal factor.

Principal peaks in the range 2θ from 10° to 80°, by intensity:
| d_spacing | 2θ (°) | I_rel |
| --- | --- | --- |
| 7.528 | 11.76 | 100 |
| 3.933 | 22.61 | 52 |
| 2.390 | 37.64 | 48 |
| 3.330 | 26.77 | 45 |
| 5.742 | 15.43 | 45 |
| 2.894 | 30.90 | 40 |
| 2.025 | 44.74 | 35 |
| 5.397 | 16.42 | 33 |
| 3.889 | 22.87 | 30 |
| 5.251 | 16.88 | 27 |

```
SiPbS3
1.0
-3.4285 5.2513 5.3974
3.4285 -5.2513 5.3974
3.4285 5.2513 -5.3974
Si Pb S
2 2 6
Direct
0.1593 0.2500 0.4093 Si
0.8407 0.7500 0.5907 Si
0.2923 0.8723 0.9200 Pb
0.9523 0.3723 0.0800 Pb
0.0874 0.9283 0.6591 S
0.1094 0.4255 0.7047 S
0.1094 0.9047 0.1838 S
0.2691 0.4283 0.3409 S
0.7209 0.4047 0.2953 S
0.7209 0.9255 0.8162 S
```